# NaI
Theoretical powder XRD pattern, Cu Kα (λ = 1.5418 Å). Input: a cell relaxed with GGA-PBE.
Kinematic intensities with the Lorentz-polarization factor, no thermal factor.

Main lines, most intense first (5 to 70 degrees two-theta):
- 2θ 30.48, rel. 100
- 2θ 21.25, rel. 62
- 2θ 20.75, rel. 59
- 2θ 43.46, rel. 37
- 2θ 25.69, rel. 35
- 2θ 46.40, rel. 30
- 2θ 40.74, rel. 22
- 2θ 67.85, rel. 19
- 2θ 33.57, rel. 17
- 2θ 46.15, rel. 14

Atomic structure:
Cell lengths 8.9309, 8.9309, 8.9309 Å; angles 151.29, 151.29, 41.06 degrees
Sites, in units of the cell vectors:
Na: 0.3750 0.6250 0.7500
Na: 0.6250 0.3750 0.2500
I: 0.1250 0.8750 0.2500
I: 0.8750 0.1250 0.7500